The following is a simulated powder diffraction line list of Fe4Bi2O9. It was derived from a crystal structure in Alexandria, relaxed with GGA+U, using copper Kα.
Lines closer than 0.1° are merged.

Peak list (6 most intense, 5 to 70 degrees two-theta, most intense first)
2θ/deg  I (rel.)
28.2  100
29.0  91
14.7  51
56.8  43
47.2  38
29.7  26

Structure:
a b c (Å): 7.9410 8.4235 6.0114
angles (deg): 90.00 90.00 90.00
Space group Pbam (No. 55)
Symmetry-distinct sites (fractional):
Fe 0.0000 0.0000 0.2474 (multiplicity 4)
Fe 0.1512 0.3310 0.0000 (multiplicity 4)
Bi 0.1700 0.6667 0.5000 (multiplicity 4)
O 0.0000 0.5000 0.0000 (multiplicity 2)
O 0.1265 0.9085 0.0000 (multiplicity 4)
O 0.1309 0.2000 0.2596 (multiplicity 8)
O 0.1444 0.9271 0.5000 (multiplicity 4)